This entry pairs a crystal structure of BaMnP2Os with its calculated XRD peak list. Radiation: Cu Kα (weighted mean of Kα1 and Kα2). Structure: DFT lattice parameters and positions (GGA-PBE).

Structural model:
```
10
Lattice="3.9326 0.0000 0.0000 0.0000 3.9326 0.0000 0.0000 0.0000 12.7747" Properties=species:S:1:pos:R:3 pbc="T T T"
Ba 0.0000 0.0000 0.0000
Ba 1.9663 1.9663 6.3874
Mn 0.0000 1.9663 3.1937
Mn 1.9663 0.0000 9.5810
P 0.0000 0.0000 4.4471
P 0.0000 0.0000 8.3277
P 1.9663 1.9663 1.9403
P 1.9663 1.9663 10.8344
Os 0.0000 1.9663 9.5810
Os 1.9663 0.0000 3.1937
```

Peak list (10 most intense, 10° ≤ 2θ ≤ 90°, in order of rising 2θ)
- 13.9°, d = 6.387 Å, rel. 34
- 23.7°, d = 3.759 Å, rel. 56
- 27.9°, d = 3.194 Å, rel. 39
- 31.0°, d = 2.889 Å, rel. 60
- 35.2°, d = 2.550 Å, rel. 100
- 46.2°, d = 1.966 Å, rel. 35
- 54.3°, d = 1.691 Å, rel. 41
- 54.8°, d = 1.674 Å, rel. 24
- 56.6°, d = 1.626 Å, rel. 22
- 78.3°, d = 1.221 Å, rel. 20